Simulated powder diffraction line list of Ho2SnGe3Rh4 for Cu Kα (λ = 1.5418 Å), from a DFT-relaxed cell (PBE, Alexandria).

Principal peaks in the range 15° ≤ 2θ ≤ 90°, most intense first:
d = 2.583 Å, 2θ 34.73, I 100, hkl 1 1 2; d = 2.093 Å, 2θ 43.22, I 52, hkl 2 0 0; d = 2.696 Å, 2θ 33.23, I 46, hkl 1 0 3; d = 1.888 Å, 2θ 48.21, I 26, hkl 1 0 5; d = 1.284 Å, 2θ 73.78, I 23, hkl 3 1 2; d = 1.654 Å, 2θ 55.58, I 21, hkl 2 1 3; d = 1.402 Å, 2θ 66.72, I 19, hkl 2 1 5; d = 1.480 Å, 2θ 62.77, I 17, hkl 2 2 0

Unit cell a=4.187 b=4.187 c=10.574 alpha=90.00 beta=90.00 gamma=90.00
Element x y z (fractional)
Ho1 0.000 0.500 0.241
Ho2 0.500 0.000 0.759
Sn1 0.000 0.000 0.500
Ge1 0.000 0.500 0.873
Ge2 0.500 0.000 0.127
Ge3 0.500 0.500 0.500
Rh1 0.000 0.000 0.000
Rh2 0.000 0.500 0.647
Rh3 0.500 0.000 0.353
Rh4 0.500 0.500 0.000